# 1
Diffraction record for LiScSnHg. The powder X-ray diffraction pattern is computed, not measured: it uses a cell relaxed with PBE and Cu Ka.
Intensities are scaled so that the largest is 100.

Peak list (12 most intense, 2θ from 5° to 70°, in order of rising 2θ)
Position (°2θ)  I/Imax
23.9  37
26.5  58
36.0  100
36.8  23
38.9  20
44.4  15
46.1  14
54.6  15
56.5  15
60.4  13
65.8  17
68.5  16

Atomic structure:
Cell lengths 3.7233, 4.6350, 4.8803 Å; angles 90.00, 90.00, 90.00 degrees
Element x y z (fractional)
1 Li 0.0000 0.0000 0.0000
2 Sc 0.0000 0.5000 0.5000
3 Sn 0.5000 0.0000 0.5000
4 Hg 0.5000 0.5000 0.0000

# 2
Diffraction record for Li4HgSe3. The powder X-ray diffraction pattern is computed, not measured: it uses a cell relaxed with PBE and Cu Ka.
Intensities are scaled so that the largest is 100.

Peak list (12 most intense, 2θ from 5° to 70°, in order of rising 2θ)
Position (°2θ)  I/Imax
14.0  57
16.8  83
20.2  57
20.9  87
22.1  54
23.6  43
24.3  100
30.2  48
30.8  44
39.0  46
43.0  44
46.0  44

Atomic structure:
Cell lengths 7.6641, 7.6641, 8.7884 Å; angles 111.29, 111.29, 51.85 degrees
Element x y z (fractional)
1 Li 0.0259 0.7048 0.0795
2 Li 0.1515 0.8485 0.5000
3 Li 0.2457 0.6547 0.8021
4 Li 0.4529 0.7949 0.2106
5 Li 0.6547 0.2457 0.3021
6 Li 0.7048 0.0259 0.5795
7 Li 0.7949 0.4529 0.7106
8 Li 0.8485 0.1515 0.0000
9 Hg 0.0936 0.4186 0.3706
10 Hg 0.4186 0.0936 0.8706
11 Se 0.0751 0.0746 0.2997
12 Se 0.0746 0.0751 0.7997
13 Se 0.4399 0.4505 0.0520
14 Se 0.4505 0.4399 0.5520
15 Se 0.7885 0.8174 0.2841
16 Se 0.8174 0.7885 0.7841